Structure and theoretical powder XRD pattern of Na3HoTi2Nb2O12 (DFT lattice parameters and positions (PBE); Cu Kα, 1.54184 Å).
Kinematic intensities with the Lorentz-polarization factor, no thermal factor.

Top 12 peaks for 10 to 90 degrees two-theta, low angle first:
2θ = 11.4°, intensity 56, hkl 0 0 1
2θ = 15.8°, intensity 29, hkl 0 1 0
2θ = 19.6°, intensity 50, hkl 0 1 -1
2θ = 19.9°, intensity 49, hkl 1 0 1
2θ = 32.0°, intensity 52, hkl 0 2 0
2θ = 32.4°, intensity 100, hkl 1 1 2
2θ = 32.6°, intensity 100, hkl 1 -1 2
2θ = 32.9°, intensity 48, hkl 2 0 0
2θ = 46.2°, intensity 32, hkl 2 2 0
2θ = 46.8°, intensity 35, hkl 0 0 4
2θ = 46.9°, intensity 31, hkl 2 -2 0
2θ = 58.4°, intensity 46, hkl 3 1 2

Atomic structure:
Lattice parameters (Å, degrees): 5.4407 5.5959 7.7708 89.89 89.96 89.24
Space group P1 (No. 1)
Asymmetric unit:
Na  0.0000  0.0000  0.0000 (multiplicity 1)
Na  0.0175  0.9310  0.5019 (multiplicity 1)
Na  0.5116  0.4900  0.0016 (multiplicity 1)
Ho  0.4990  0.4030  0.5019 (multiplicity 1)
Ti  0.5127  0.9459  0.7449 (multiplicity 1)
Ti  0.9976  0.4523  0.2590 (multiplicity 1)
Nb  0.0027  0.4622  0.7630 (multiplicity 1)
Nb  0.5116  0.9470  0.2407 (multiplicity 1)
O  0.0779  0.4530  0.0048 (multiplicity 1)
O  0.2278  0.2032  0.3048 (multiplicity 1)
O  0.2319  0.2003  0.6989 (multiplicity 1)
O  0.3135  0.6756  0.3065 (multiplicity 1)
O  0.3157  0.6784  0.6976 (multiplicity 1)
O  0.4283  0.9576  0.9987 (multiplicity 1)
O  0.5864  0.0023  0.5047 (multiplicity 1)
O  0.7113  0.2720  0.7774 (multiplicity 1)
O  0.7138  0.2736  0.2272 (multiplicity 1)
O  0.8021  0.7728  0.7888 (multiplicity 1)
O  0.8086  0.7685  0.2122 (multiplicity 1)
O  0.9084  0.4978  0.4982 (multiplicity 1)